(1)
Structure and simulated powder X-ray diffraction pattern of Ba4La2SbRuO12 (a crystal structure in Alexandria, relaxed with GGA-PBE; Cu Kα X-rays).
Lines closer than 0.1° are merged.

Principal peaks in the range 5° ≤ 2θ ≤ 70°, in order of rising 2θ:
d = 3.081 Å, intensity 100, hkl 0 1 -3; d = 3.057 Å, intensity 100, hkl -2 1 1; d = 2.170 Å, intensity 57, hkl 0 2 2; d = 1.779 Å, intensity 22, hkl 1 2 -4; d = 1.774 Å, intensity 35, hkl 3 -1 1; d = 1.760 Å, intensity 20, hkl -3 3 1; d = 1.541 Å, intensity 17, hkl 2 2 -2; d = 1.528 Å, intensity 18, hkl 2 -4 0

Crystal structure
abc: 6.111 6.112 10.649
angles: 90.45 106.38 119.47
Space group P-1 (No. 2)
One atom of each set of equivalent atoms:
Ba1 0.242 0.124 0.371
Ba2 0.254 0.631 0.882
La1 0.498 0.749 0.251
Sb1 0.000 0.500 0.500
Ru1 0.000 0.000 0.000
O1 0.172 0.587 0.356
O2 0.191 0.097 0.867
O3 0.224 0.360 0.095
O4 0.232 0.870 0.592
O5 0.269 0.924 0.111
O6 0.280 0.428 0.608

---

(2)
Structure and simulated powder X-ray diffraction pattern of BaLa2Sc2O7 (a crystal structure in Alexandria, relaxed with GGA-PBE; Cu Kα X-rays).
Lines closer than 0.1° are merged.

Principal peaks in the range 5° ≤ 2θ ≤ 70°, in order of rising 2θ:
d = 4.074 Å, intensity 16, hkl 1 1 1; d = 3.456 Å, intensity 9, hkl 0 0 6; d = 2.936 Å, intensity 100, hkl 2 0 0; d = 2.238 Å, intensity 17, hkl 2 0 6; d = 2.076 Å, intensity 28, hkl 2 2 0; d = 1.717 Å, intensity 8, hkl 1 1 11; d = 1.695 Å, intensity 33, hkl 3 1 5; d = 1.468 Å, intensity 13, hkl 4 0 0

Crystal structure
abc: 5.876 5.876 20.736
angles: 90.00 90.00 90.00
Space group P4_2/mnm (No. 136)
One atom of each set of equivalent atoms:
Ba1 0.241 0.241 0.000
La1 0.228 0.228 0.184
Sc1 0.243 0.243 0.400
O1 0.000 0.000 0.094
O2 0.000 0.000 0.374
O3 0.000 0.500 0.111
O4 0.190 0.810 0.209
O5 0.218 0.218 0.500

---

(3)
Structure and simulated powder X-ray diffraction pattern of Ba3LaSn2O9 (a crystal structure in Alexandria, relaxed with GGA-PBE; Cu Kα X-rays).
Lines closer than 0.1° are merged.

Principal peaks in the range 5° ≤ 2θ ≤ 70°, in order of rising 2θ:
d = 3.094 Å, intensity 100, hkl 0 1 2; d = 3.059 Å, intensity 98, hkl 1 1 0; d = 2.175 Å, intensity 60, hkl 2 0 2; d = 1.793 Å, intensity 20, hkl 1 0 4; d = 1.773 Å, intensity 40, hkl 1 2 2; d = 1.766 Å, intensity 20, hkl 3 0 0; d = 1.547 Å, intensity 18, hkl 0 2 4; d = 1.530 Å, intensity 19, hkl 2 2 0

Crystal structure
abc: 6.1183 6.1183 7.6235
angles: 90.00 90.00 120.00
Space group P-3m1 (No. 164)
One atom of each set of equivalent atoms:
Ba1 0.0000 0.0000 0.0000
Ba2 0.3333 0.6667 0.6833
La1 0.0000 0.0000 0.5000
Sn1 0.3333 0.6667 0.1595
O1 0.0000 0.5000 0.0000
O2 0.1741 0.3481 0.3120